# 1
For Co5Re4B2, a crystal structure in Alexandria, relaxed with GGA-PBE gives the computed powder diffraction line list in this record (Cu Ka).
No peak broadening, texture or thermal motion is included.

Largest 6 diffraction maxima, sorted by position, 2θ from 5° to 70°:
two_theta, Rel. int.
28.04, 43
42.62, 40
43.77, 100
46.97, 39
50.31, 41
50.78, 37

Atomic structure:
```
Co5Re4B2
1.0
6.3638 0.0000 0.0000
0.0000 2.7249 0.0000
-0.0257 0.0000 7.2892
Co Re B
5 4 2
direct
0.0000 0.0000 0.0000 Co
0.0278 0.0000 0.6765 Co
0.3192 0.0000 0.1624 Co
0.6808 0.0000 0.8376 Co
0.9722 0.0000 0.3235 Co
0.2724 0.5000 0.4767 Re
0.3205 0.5000 0.8623 Re
0.6795 0.5000 0.1377 Re
0.7276 0.5000 0.5233 Re
0.4637 0.0000 0.6419 B
0.5363 0.0000 0.3581 B
```


# 2
For K3Li2I2Br4, a crystal structure in Alexandria, relaxed with GGA-PBE gives the computed powder diffraction line list in this record (Cu Ka).
No peak broadening, texture or thermal motion is included.

Largest 6 diffraction maxima, sorted by position, 2θ from 5° to 70°:
two_theta, Rel. int.
24.76, 100
27.30, 36
28.62, 54
31.11, 82
33.99, 77
45.01, 30

Atomic structure:
```
K3Li2I2Br4
1.0
-2.6374 2.6374 13.5353
2.6374 -2.6374 13.5353
2.6374 2.6374 -13.5353
K Li I Br
3 2 2 4
direct
0.0000 0.0000 0.0000 K
0.1631 0.1631 0.0000 K
0.8369 0.8369 0.0000 K
0.4003 0.4003 0.0000 Li
0.5997 0.5997 0.0000 Li
0.2934 0.2934 0.0000 I
0.7066 0.7066 0.0000 I
0.0820 0.5820 0.5000 Br
0.4180 0.9180 0.5000 Br
0.5820 0.0820 0.5000 Br
0.9180 0.4180 0.5000 Br
```


# 3
For YCr2B, a crystal structure in Alexandria, relaxed with GGA-PBE gives the computed powder diffraction line list in this record (Cu Ka).
No peak broadening, texture or thermal motion is included.

Largest 6 diffraction maxima, sorted by position, 2θ from 5° to 70°:
two_theta, Rel. int.
30.17, 61
35.53, 100
37.17, 27
53.58, 22
57.12, 31
62.72, 28

Atomic structure:
```
YCr2B
1.0
0.0000 4.1897 4.1897
4.1897 0.0000 4.1897
4.1897 4.1897 0.0000
Y Cr B
2 4 2
direct
0.1250 0.1250 0.1250 Y
0.8750 0.8750 0.8750 Y
0.0000 0.5000 0.5000 Cr
0.5000 0.0000 0.5000 Cr
0.5000 0.5000 0.0000 Cr
0.5000 0.5000 0.5000 Cr
0.3750 0.3750 0.3750 B
0.6250 0.6250 0.6250 B
```


# 4
For LiPm2OsO8, a crystal structure in Alexandria, relaxed with GGA-PBE gives the computed powder diffraction line list in this record (Cu Ka).
No peak broadening, texture or thermal motion is included.

Largest 6 diffraction maxima, sorted by position, 2θ from 5° to 70°:
two_theta, Rel. int.
12.86, 74
21.94, 73
26.57, 100
27.25, 81
29.50, 87
30.98, 61

Atomic structure:
```
LiPm2OsO8
1.0
4.1591 0.0000 0.0000
0.5583 5.3844 0.0000
0.9039 0.6445 6.8846
Li Pm Os O
1 2 1 8
direct
0.0000 0.0000 0.0000 Li
0.3217 0.4802 0.7759 Pm
0.6783 0.5198 0.2241 Pm
0.0000 0.0000 0.5000 Os
0.1965 0.0666 0.7184 O
0.2133 0.6584 0.0688 O
0.2645 0.1968 0.3316 O
0.2879 0.7097 0.4662 O
0.7121 0.2903 0.5338 O
0.7355 0.8032 0.6684 O
0.7867 0.3416 0.9312 O
0.8035 0.9334 0.2816 O
```


# 5
For Hf2FeGe2, a crystal structure in Alexandria, relaxed with GGA-PBE gives the computed powder diffraction line list in this record (Cu Ka).
No peak broadening, texture or thermal motion is included.

Largest 6 diffraction maxima, sorted by position, 2θ from 5° to 70°:
two_theta, Rel. int.
27.66, 48
32.79, 39
32.98, 51
38.43, 100
47.20, 48
68.06, 37

Atomic structure:
```
Hf2FeGe2
1.0
-2.7313 5.9027 2.7156
2.7313 -5.9027 2.7156
2.7313 5.9027 -2.7156
Hf Fe Ge
4 2 4
direct
0.1626 0.2143 0.3769 Hf
0.3374 0.7143 0.0518 Hf
0.6626 0.2857 0.9482 Hf
0.8374 0.7857 0.6231 Hf
0.2500 0.2500 0.0000 Fe
0.7500 0.7500 0.0000 Fe
0.0938 0.7030 0.7969 Ge
0.4062 0.2030 0.6092 Ge
0.5938 0.7970 0.3908 Ge
0.9062 0.2970 0.2031 Ge
```


# 6
For LiNiP2S6, a crystal structure in Alexandria, relaxed with GGA-PBE gives the computed powder diffraction line list in this record (Cu Ka).
No peak broadening, texture or thermal motion is included.

Largest 6 diffraction maxima, sorted by position, 2θ from 5° to 70°:
two_theta, Rel. int.
12.38, 100
17.90, 20
30.49, 18
34.52, 54
35.29, 25
54.24, 18

Atomic structure:
```
LiNiP2S6
1.0
2.9181 -5.1388 0.0000
2.9181 5.1388 0.0000
-1.8138 0.0000 7.1525
Li Ni P S
1 1 2 6
direct
0.0000 0.0000 0.0000 Li
0.6717 0.3283 0.0000 Ni
0.2832 0.6124 0.8479 P
0.3876 0.7168 0.1521 P
0.0553 0.4193 0.2240 S
0.2892 0.2725 0.7770 S
0.4375 0.0924 0.2115 S
0.5807 0.9447 0.7760 S
0.7275 0.7108 0.2230 S
0.9076 0.5625 0.7885 S
```


What is the formula in the first record?
Co5Re4B2